1.
Simulated powder XRD pattern of Th2Se5 for a wavelength of 1.5418 Å, from a crystal structure in the Materials Project, relaxed with GGA-PBE.
Neutral-atom scattering factors, no anomalous dispersion.

Structural model:
a b c (Å): 8.0086 10.7853 8.0251
angles (deg): 90.00 90.00 90.00
Space group Pbcn (No. 60)
Asymmetric unit:
Th: 0.2424 0.1474 0.0082
Se: 0.0000 0.2480 0.7500
Se: 0.1139 0.3967 0.1352
Se: 0.1296 0.1066 0.3791

The 10 most intense peaks (2θ = 5–70°), sorted by position:
h k l, two_theta, I/Imax
0 0 2, 22.18, 39
1 2 1, 22.76, 45
1 3 1, 29.42, 18
2 0 2, 31.57, 37
2 1 2, 32.67, 15
0 4 0, 33.23, 19
1 4 1, 36.92, 17
3 2 1, 39.27, 100
2 4 0, 40.31, 27
4 4 2, 62.19, 17

2.
Simulated powder XRD pattern of Te3MoWS for a wavelength of 1.5418 Å, from a crystal structure in the Materials Project, relaxed with GGA-PBE.
Neutral-atom scattering factors, no anomalous dispersion.

Structural model:
a b c (Å): 3.4487 3.4487 39.3592
angles (deg): 90.00 90.00 120.00
Space group P3m1 (No. 156)
Asymmetric unit:
Te: 0.0000 0.0000 0.0000
Te: 0.0000 0.0000 0.0941
Te: 0.0000 0.0000 0.3757
Te: 0.0000 0.0000 0.4698
Te: 0.6667 0.3333 0.5634
Te: 0.6667 0.3333 0.6580
Mo: 0.6667 0.3333 0.0470
Mo: 0.6667 0.3333 0.4227
W: 0.0000 0.0000 0.2349
W: 0.0000 0.0000 0.6107
S: 0.6667 0.3333 0.1970
S: 0.6667 0.3333 0.2729

The 10 most intense peaks (2θ = 5–70°), sorted by position:
h k l, two_theta, I/Imax
0 0 3, 6.74, 44
0 0 5, 11.24, 93
1 0 0, 29.94, 58
1 0 5, 32.05, 15
0 1 8, 35.15, 100
0 1 10, 37.81, 16
1 0 13, 42.52, 56
0 1 14, 44.25, 16
1 1 0, 53.12, 34
2 0 8, 65.30, 16